(1)
# CdHg4C6S6Br4N6
Theoretical powder X-ray diffraction pattern, CuKα. Input: a DFT-relaxed cell (PBE, the Materials Project).

```
data_CdHg4C6S6Br4N6
_chemical_formula_sum 'Cd4 Hg16 C24 S24 Br16 N24'
_space_group_name_H-M_alt 'F m m 2'
_space_group_IT_number 42
_space_group_name_Hall 'F 2 -2'
_cell_length_a 18.899
_cell_length_b 23.914
_cell_length_c 6.548
_cell_angle_alpha 90.00
_cell_angle_beta 90.00
_cell_angle_gamma 90.00
loop_
_atom_site_label
_atom_site_type_symbol
_atom_site_fract_x
_atom_site_fract_y
_atom_site_fract_z
Cd1 Cd 0.000 0.000 0.000
Hg1 Hg 0.148 0.191 0.494
C1 C 0.000 0.112 0.661
C2 C 0.127 0.074 0.289
S1 S 0.000 0.173 0.538
S2 S 0.186 0.093 0.461
Br1 Br 0.154 0.202 0.979
N1 N 0.000 0.069 0.748
N2 N 0.086 0.059 0.166
```

Largest 10 diffraction maxima, sorted by position, 10° ≤ 2θ ≤ 90°:
hkl	two_theta	Rel. int.
2 2 0	11.9	62
1 3 1	18.2	100
4 0 0	18.8	55
3 1 1	19.9	48
4 2 0	20.2	89
0 0 2	27.2	67
6 0 0	28.3	94
0 8 0	29.9	50
4 2 2	34.2	55
4 8 0	35.5	55

(2)
# CdCBr3N
Theoretical powder X-ray diffraction pattern, CuKα. Input: a DFT-relaxed cell (PBE, the Materials Project).

```
data_CdCBr3N
_chemical_formula_sum 'Cd4 C4 Br12 N4'
_space_group_name_H-M_alt 'C m c 21'
_space_group_IT_number 36
_cell_length_a 7.692
_cell_length_b 13.298
_cell_length_c 6.851
_cell_angle_alpha 90.00
_cell_angle_beta 90.00
_cell_angle_gamma 90.00
loop_
_space_group_symop_operation_xyz
'x,y,z'
'-x,-y,z+1/2'
'-x,y,z'
'x,-y,z+1/2'
'x+1/2,y+1/2,z'
'-x+1/2,-y+1/2,z+1/2'
'-x+1/2,y+1/2,z'
'x+1/2,-y+1/2,z+1/2'
loop_
_atom_site_label
_atom_site_type_symbol
_atom_site_fract_x
_atom_site_fract_y
_atom_site_fract_z
Cd1 Cd 0.000 0.000 0.000
C1 C 0.000 0.337 0.177
Br1 Br 0.000 0.167 0.751
Br2 Br 0.249 0.417 0.753
N1 N 0.000 0.326 0.348
```

Largest 10 diffraction maxima, sorted by position, 10° ≤ 2θ ≤ 90°:
hkl	two_theta	Rel. int.
1 1 0	13.3	100
0 2 1	18.6	13
0 4 1	29.9	81
2 0 2	35.1	33
3 1 0	35.7	20
2 2 2	37.7	47
4 0 0	47.3	29
2 2 3	48.3	17
3 3 2	48.9	13
4 4 1	57.0	12

(3)
# CdCSBr2N3O
Theoretical powder X-ray diffraction pattern, CuKα. Input: a DFT-relaxed cell (PBE, the Materials Project).

```
data_CdCSBr2N3O
_chemical_formula_sum 'Cd4 C4 S4 Br8 N12 O4'
_space_group_name_H-M_alt 'C 1 c 1'
_space_group_IT_number 9
_cell_length_a 10.070
_cell_length_b 17.336
_cell_length_c 7.159
_cell_angle_alpha 90.00
_cell_angle_beta 132.59
_cell_angle_gamma 90.00
loop_
_space_group_symop_operation_xyz
'x,y,z'
'x,-y,z+1/2'
'x+1/2,y+1/2,z'
'x+1/2,-y+1/2,z+1/2'
loop_
_atom_site_label
_atom_site_type_symbol
_atom_site_fract_x
_atom_site_fract_y
_atom_site_fract_z
Cd1 Cd 0.000 0.188 0.000
C1 C 0.112 0.184 0.638
S1 S 0.219 0.171 0.544
Br1 Br 0.097 0.035 0.098
Br2 Br 0.143 0.330 0.143
N1 N 0.039 0.192 0.715
N2 N 0.120 0.421 0.635
N3 N 0.235 0.410 0.648
O1 O 0.291 0.040 0.562
```

Largest 10 diffraction maxima, sorted by position, 10° ≤ 2θ ≤ 90°:
hkl	two_theta	Rel. int.
1 1 0	13.0	38
1 1 -1	13.4	100
2 0 0	24.0	27
2 0 -2	24.9	38
0 4 1	26.6	18
3 1 -1	28.1	18
0 0 2	34.0	17
3 1 -3	38.1	17
1 7 -1	38.5	24
2 4 1	43.5	18

(4)
# Ce4C2Br5
Theoretical powder X-ray diffraction pattern, CuKα. Input: a DFT-relaxed cell (PBE, the Materials Project).

```
data_Ce4C2Br5
_chemical_formula_sum 'Ce8 C4 Br10'
_space_group_name_H-M_alt 'I m m m'
_space_group_IT_number 71
_space_group_name_Hall '-I 2 2'
_cell_length_a 3.924
_cell_length_b 8.220
_cell_length_c 18.159
_cell_angle_alpha 90.00
_cell_angle_beta 90.00
_cell_angle_gamma 90.00
loop_
_atom_site_label
_atom_site_type_symbol
_atom_site_fract_x
_atom_site_fract_y
_atom_site_fract_z
Ce1 Ce 0.000 0.000 0.164
Ce2 Ce 0.000 0.301 0.500
C1 C 0.000 0.000 0.039
Br1 Br 0.000 0.222 0.335
Br2 Br 0.000 0.500 0.000
```

Largest 10 diffraction maxima, sorted by position, 10° ≤ 2θ ≤ 90°:
hkl	two_theta	Rel. int.
0 1 1	11.8	27
1 1 2	27.0	40
0 0 6	29.5	73
1 2 1	31.9	100
1 1 4	32.1	30
0 3 3	36.0	49
1 2 5	40.3	42
2 0 0	46.3	24
1 2 7	47.5	35
2 0 6	55.9	28

(5)
# Ce4C4Br3
Theoretical powder X-ray diffraction pattern, CuKα. Input: a DFT-relaxed cell (PBE, the Materials Project).

```
data_Ce4C4Br3
_chemical_formula_sum 'Ce8 C8 Br6'
_space_group_name_H-M_alt 'P -1'
_space_group_IT_number 2
_cell_length_a 4.153
_cell_length_b 10.977
_cell_length_c 11.094
_cell_angle_alpha 102.84
_cell_angle_beta 90.29
_cell_angle_gamma 94.46
loop_
_space_group_symop_operation_xyz
'x,y,z'
'-x,-y,-z'
loop_
_atom_site_label
_atom_site_type_symbol
_atom_site_fract_x
_atom_site_fract_y
_atom_site_fract_z
Ce1 Ce 0.014 0.021 0.260
Ce2 Ce 0.242 0.362 0.331
Ce3 Ce 0.374 0.827 0.939
Ce4 Ce 0.380 0.833 0.482
C1 C 0.134 0.039 0.016
C2 C 0.136 0.041 0.505
C3 C 0.239 0.762 0.695
C4 C 0.492 0.152 0.285
Br1 Br 0.193 0.388 0.077
Br2 Br 0.200 0.403 0.611
Br3 Br 0.414 0.796 0.204
```

Largest 10 diffraction maxima, sorted by position, 10° ≤ 2θ ≤ 90°:
hkl	two_theta	Rel. int.
0 1 -1	10.3	21
1 0 -2	26.8	19
1 2 0	28.3	100
-1 1 2	28.7	21
1 -3 0	31.8	59
0 1 -4	32.3	71
0 3 2	33.1	21
1 1 4	43.1	25
1 3 -4	43.9	55
1 -4 4	46.6	24

(6)
# CuH12C6Br6N4
Theoretical powder X-ray diffraction pattern, CuKα. Input: a DFT-relaxed cell (PBE, the Materials Project).

```
data_CuH12C6Br6N4
_chemical_formula_sum 'Cu2 H24 C12 Br12 N8'
_space_group_name_H-M_alt 'P -1'
_space_group_IT_number 2
_cell_length_a 8.028
_cell_length_b 8.447
_cell_length_c 14.660
_cell_angle_alpha 96.51
_cell_angle_beta 102.72
_cell_angle_gamma 104.37
loop_
_space_group_symop_operation_xyz
'x,y,z'
'-x,-y,-z'
loop_
_atom_site_label
_atom_site_type_symbol
_atom_site_fract_x
_atom_site_fract_y
_atom_site_fract_z
Cu1 Cu 0.212 0.206 0.254
H1 H 0.009 0.869 0.367
H2 H 0.118 0.689 0.887
H3 H 0.144 0.899 0.039
H4 H 0.156 0.398 0.438
H5 H 0.270 0.785 0.173
H6 H 0.280 0.368 0.712
H7 H 0.339 0.188 0.668
H8 H 0.344 0.938 0.002
H9 H 0.368 0.527 0.118
H10 H 0.409 0.307 0.534
H11 H 0.411 0.500 0.601
H12 H 0.480 0.859 0.147
C1 C 0.030 0.258 0.523
C2 C 0.236 0.570 0.989
C3 C 0.251 0.846 0.028
C4 C 0.269 0.280 0.648
C5 C 0.333 0.371 0.571
C6 C 0.342 0.785 0.117
Br1 Br 0.087 0.978 0.804
Br2 Br 0.142 0.467 0.285
Br3 Br 0.181 0.357 0.918
Br4 Br 0.203 0.801 0.552
Br5 Br 0.341 0.043 0.357
Br6 Br 0.448 0.305 0.180
N1 N 0.079 0.198 0.601
N2 N 0.164 0.363 0.503
N3 N 0.178 0.692 0.956
N4 N 0.332 0.613 0.078
```

Largest 10 diffraction maxima, sorted by position, 10° ≤ 2θ ≤ 90°:
hkl	two_theta	Rel. int.
1 0 0	11.8	28
0 1 1	13.6	76
1 -1 2	19.3	27
1 0 -3	19.6	31
1 -1 3	24.3	23
1 0 -4	25.0	35
2 -1 1	25.1	29
-1 2 2	25.8	100
2 0 -3	26.3	37
2 -3 1	35.8	25